Diffraction record for RbCo2P2. The powder X-ray diffraction pattern is theoretical, not measured: it uses the GGA-PBE geometry in the Materials Project and λ = 1.5418 Å (Cu Kα).
Lines closer than 0.1° are merged.

Crystal structure
Cell lengths 3.7012, 3.7012, 13.9374 Å; angles 90.00, 90.00, 90.00 degrees
Space group I4/mmm (No. 139)
One atom of each set of equivalent atoms:
1 Rb 0.0000 0.0000 0.0000
2 Co 0.0000 0.5000 0.2500
3 P 0.0000 0.0000 0.3354

Most intense lines, 2θ = 10–80°, most intense first:
2theta, Rel. int., h k l
30.89, 1000, 1 0 3
36.68, 933, 1 1 2
52.69, 691, 1 1 6
25.57, 579, 0 0 4
12.70, 501, 0 0 2
49.24, 428, 2 0 0
59.26, 286, 2 1 3
56.29, 244, 2 0 4
24.89, 228, 1 0 1
72.19, 130, 2 2 0